# MgCoSeO
Simulated X-ray diffraction stick pattern, Cu Kα X-rays. Input: a crystal structure in OQMD, relaxed with PBE+U.
Kinematic intensities with the Lorentz-polarization factor, no thermal factor.

Principal peaks in the range 10° ≤ 2θ ≤ 80°, low angle first:
Position (°2θ), d_spacing, Rel. int.
20.86, 4.258, 58
30.63, 2.919, 28
31.51, 2.839, 42
32.86, 2.725, 100
41.42, 2.180, 30
46.17, 1.966, 40
46.50, 1.953, 29
56.42, 1.631, 36

Cell and atoms:
a = 3.528 Å, b = 12.874 Å, c = 5.678 Å
α = 90.00°, β = 90.00°, γ = 90.00°
Space group Cmc2_1 (No. 36)
Symmetry-distinct sites (fractional):
Mg: 0.000 0.160 0.000 [4 per cell]
Co: 0.000 0.449 0.122 [4 per cell]
Se: 0.000 0.165 0.475 [4 per cell]
O: 0.000 0.418 0.464 [4 per cell]